# 1
The following is a simulated powder diffractogram of Nd3Dy2Ga4. It was derived from DFT lattice parameters and positions (PBE), using Cu Kα (λ = 1.5418 Å).

The 10 most intense peaks (10 to 90 degrees two-theta), in order of rising 2θ:
2θ 27.6, rel. 32; 2θ 29.5, rel. 28; 2θ 30.3, rel. 26; 2θ 30.6, rel. 100; 2θ 31.5, rel. 21; 2θ 34.8, rel. 22; 2θ 35.8, rel. 20; 2θ 37.2, rel. 40; 2θ 40.5, rel. 33; 2θ 51.6, rel. 18

Structural model:
a b c (Å): 6.6032 6.6032 9.3695
angles (deg): 109.50 109.50 39.44
Sites, in units of the cell vectors:
Nd 0.0000 0.0000 0.0000
Nd 0.3872 0.3872 0.2997
Nd 0.6128 0.6128 0.7003
Dy 0.3143 0.3143 0.6579
Dy 0.6857 0.6857 0.3421
Ga 0.0696 0.0696 0.4178
Ga 0.2721 0.2721 0.9421
Ga 0.7279 0.7279 0.0579
Ga 0.9304 0.9304 0.5822

***

# 2
The following is a simulated powder diffractogram of NdGeAu3. It was derived from DFT lattice parameters and positions (PBE), using Cu Kα (λ = 1.5418 Å).

The 10 most intense peaks (10 to 90 degrees two-theta), in order of rising 2θ:
2θ 28.2, rel. 22; 2θ 34.8, rel. 100; 2θ 35.4, rel. 55; 2θ 36.1, rel. 70; 2θ 37.4, rel. 25; 2θ 39.5, rel. 24; 2θ 43.7, rel. 16; 2θ 45.0, rel. 24; 2θ 55.9, rel. 18; 2θ 64.8, rel. 18

Structural model:
a b c (Å): 5.0962 5.0962 5.0970
angles (deg): 116.33 116.33 80.45
Sites, in units of the cell vectors:
Nd 0.0000 0.0000 0.0000
Ge 0.3092 0.3092 0.7553
Au 0.3105 0.7332 0.5334
Au 0.6933 0.6933 0.2131
Au 0.7332 0.3105 0.5334